The following is a computed powder diffractogram of PmH7Pt4. It was derived from a GGA-PBE-relaxed structure, using Cu Kα (λ = 1.5418 Å).
Intensities are scaled so that the largest is 100.

a = 13.776 Å, b = 7.024 Å, c = 5.331 Å
α = 90.00°, β = 90.00°, γ = 90.00°
Space group Cmcm (No. 63)
Unique sites:
1 Pm 0.000 0.242 0.250 (multiplicity 4)
2 H 0.000 0.377 0.750 (multiplicity 4)
3 H 0.157 0.250 0.004 (multiplicity 16)
4 H 0.250 0.007 0.250 (multiplicity 8)
5 Pt 0.127 0.398 0.750 (multiplicity 8)
6 Pt 0.158 0.000 0.000 (multiplicity 8)

The 8 most intense peaks (10° ≤ 2θ ≤ 80°), sorted by position:
| h k l | d/Å | I_rel |
| --- | --- | --- |
| 4 0 0 | 3.444 | 55 |
| 3 1 1 | 3.118 | 70 |
| 0 2 1 | 2.933 | 44 |
| 4 2 0 | 2.459 | 48 |
| 1 1 2 | 2.452 | 64 |
| 5 1 1 | 2.310 | 39 |
| 3 1 2 | 2.190 | 100 |
| 1 3 1 | 2.118 | 38 |



The following is a computed powder diffractogram of PmH3Pt3. It was derived from a GGA-PBE-relaxed structure, using Cu Kα (λ = 1.5418 Å).
Intensities are scaled so that the largest is 100.

a = 6.3803 Å, b = 6.3803 Å, c = 4.7780 Å
α = 90.00°, β = 90.00°, γ = 120.00°
Space group P6_3/mmc (No. 194)
Unique sites:
1 Pm 0.3333 0.6667 0.2500 (multiplicity 2)
2 H 0.1120 0.5560 0.7500 (multiplicity 6)
3 Pt 0.1444 0.2888 0.7500 (multiplicity 6)

The 8 most intense peaks (10° ≤ 2θ ≤ 80°), sorted by position:
| h k l | d/Å | I_rel |
| --- | --- | --- |
| 1 0 0 | 5.525 | 12 |
| 2 0 0 | 2.763 | 19 |
| 0 0 2 | 2.391 | 100 |
| 2 0 2 | 1.807 | 11 |
| 3 0 1 | 1.719 | 8 |
| 2 2 0 | 1.595 | 12 |
| 2 0 3 | 1.380 | 16 |
| 2 2 2 | 1.327 | 21 |



The following is a computed powder diffractogram of PmPuH8Rh2. It was derived from a GGA-PBE-relaxed structure, using Cu Kα (λ = 1.5418 Å).
Intensities are scaled so that the largest is 100.

a = 4.6146 Å, b = 4.6146 Å, c = 18.9128 Å
α = 90.00°, β = 90.00°, γ = 120.00°
Space group R-3m (No. 166, hexagonal axes)
Unique sites:
1 Pm 0.0000 0.0000 0.0000 (multiplicity 3)
2 Pu 0.0000 0.0000 0.5000 (multiplicity 3)
3 H 0.0000 0.0000 0.1353 (multiplicity 6)
4 H 0.0247 0.5124 0.0573 (multiplicity 18)
5 Rh 0.0000 0.0000 0.2275 (multiplicity 6)

The 8 most intense peaks (10° ≤ 2θ ≤ 80°), sorted by position:
| h k l | d/Å | I_rel |
| --- | --- | --- |
| 0 0 3 | 6.304 | 17 |
| 0 1 2 | 3.681 | 15 |
| 1 0 4 | 3.052 | 100 |
| 1 1 0 | 2.307 | 53 |
| 0 1 8 | 2.035 | 24 |
| 0 2 4 | 1.841 | 24 |
| 2 1 4 | 1.439 | 21 |
| 1 2 8 | 1.273 | 10 |